Structure and computed powder diffractogram of Pr2Te2F (the GGA-PBE geometry in Alexandria; CuKα).
Neutral-atom scattering factors, no anomalous dispersion.

Peak list (10 most intense, 2θ from 10° to 80°, in order of rising 2θ)
2θ 10.22, intensity 47, hkl 0 0 4
2θ 20.52, intensity 33, hkl 0 0 8
2θ 27.39, intensity 20, hkl 1 0 7
2θ 29.66, intensity 100, hkl 1 1 2
2θ 31.12, intensity 53, hkl 1 0 9
2θ 35.27, intensity 31, hkl 1 0 11
2θ 39.31, intensity 28, hkl 1 1 10
2θ 41.77, intensity 38, hkl 2 0 0
2θ 52.98, intensity 27, hkl 2 1 9
2θ 68.86, intensity 18, hkl 3 1 2

Cell and atoms:
Unit cell a=4.3249 b=4.3249 c=34.6201 alpha=90.00 beta=90.00 gamma=90.00
Space group I4_1/amd (No. 141, origin choice 2)
Symmetry-distinct sites (fractional):
Pr: 0.0000 0.2500 0.0887 x8
Te: 0.0000 0.2500 0.1932 x8
F: 0.0000 0.2500 0.8750 x4